Simulated X-ray diffraction stick pattern of Dy6Ir5Pt for Cu Kα X-rays, from a GGA-PBE-relaxed structure.

Peak list (10 most intense, 2θ from 10° to 90°, low angle first)
2θ = 36.72°, I 51
2θ = 37.12°, I 100
2θ = 52.91°, I 18
2θ = 54.09°, I 9
2θ = 66.39°, I 37
2θ = 67.14°, I 13
2θ = 78.10°, I 6
2θ = 79.01°, I 6
2θ = 89.55°, I 9
2θ = 89.79°, I 9

Atomic structure:
```
Dy6Ir5Pt
1.0
4.1787 -7.3422 0.0000
4.1787 7.3422 0.0000
-2.8602 0.0000 3.9726
Dy Ir Pt
6 5 1
Cartesian
-0.0615 2.4633 2.9758
1.3619 0.0000 0.9854
-0.0615 -2.4633 2.9758
5.5586 2.4633 0.9968
4.1352 0.0000 2.9872
5.5586 -2.4633 0.9968
-1.4301 0.0000 1.9863
4.1787 4.9051 0.0000
2.7486 2.4539 1.9863
2.7486 -2.4539 1.9863
4.1787 -4.9051 0.0000
4.1787 0.0000 0.0000
```



Simulated X-ray diffraction stick pattern of DyPu2Ir2 for Cu Kα X-rays, from a GGA-PBE-relaxed structure.

Peak list (10 most intense, 2θ from 10° to 90°, low angle first)
2θ = 31.52°, I 100
2θ = 32.85°, I 26
2θ = 35.35°, I 49
2θ = 38.75°, I 21
2θ = 40.98°, I 23
2θ = 42.22°, I 17
2θ = 43.79°, I 26
2θ = 49.37°, I 20
2θ = 68.09°, I 15
2θ = 74.77°, I 15

Atomic structure:
```
DyPu2Ir2
1.0
2.0675 -9.7594 0.0000
2.0675 9.7594 0.0000
0.0000 0.0000 5.6789
Dy Pu Ir
2 4 4
Cartesian
2.0675 7.2003 4.2592
2.0675 -7.2003 1.4197
2.0675 3.5348 4.2592
2.0675 0.0000 0.0000
2.0675 0.0000 2.8395
2.0675 -3.5348 1.4197
2.0675 8.1868 1.4197
2.0675 4.4088 1.4197
2.0675 -4.4088 4.2592
2.0675 -8.1868 4.2592
```